1.
Starting from a cell relaxed with PBE, the powder diffractogram of Hf3Zr2Tc2 was simulated for Cu Kα X-rays.
Intensities are scaled so that the largest is 100.

The 12 most intense peaks (10° ≤ 2θ ≤ 80°), in order of rising 2θ:
hkl 0 4 0, d = 6.777 Å, 13.1°, I = 11
hkl 0 6 1, d = 2.641 Å, 33.9°, I = 43
hkl 1 7 0, d = 2.502 Å, 35.9°, I = 95
hkl 0 8 1, d = 2.347 Å, 38.3°, I = 66
hkl 1 1 1, d = 2.301 Å, 39.1°, I = 100
hkl 0 14 0, d = 1.936 Å, 46.9°, I = 13
hkl 2 0 0, d = 1.639 Å, 56.1°, I = 16
hkl 0 0 2, d = 1.627 Å, 56.6°, I = 17
hkl 1 15 1, d = 1.423 Å, 65.6°, I = 23
hkl 2 6 1, d = 1.392 Å, 67.2°, I = 12
hkl 1 7 2, d = 1.364 Å, 68.8°, I = 28
hkl 2 8 1, d = 1.344 Å, 70.0°, I = 22

Atomic structure:
```
data_Hf3Zr2Tc2
_chemical_formula_sum 'Hf6 Zr4 Tc4'
_cell_length_a 3.277
_cell_length_b 27.109
_cell_length_c 3.255
_cell_angle_alpha 90.00
_cell_angle_beta 90.00
_cell_angle_gamma 90.00
_symmetry_space_group_name_H-M 'C m m m'
_symmetry_Int_Tables_number 65
_symmetry_space_group_name_Hall '-C 2 2'
loop_
_atom_site_label
_atom_site_type_symbol
_atom_site_fract_x
_atom_site_fract_y
_atom_site_fract_z
Hf1 Hf 0.000 0.000 0.000
Hf2 Hf 0.000 0.422 0.500
Zr1 Zr 0.000 0.305 0.500
Tc1 Tc 0.000 0.137 0.000
```

***

2.
Starting from a cell relaxed with PBE, the powder diffractogram of Hf2Te3 was simulated for Cu Kα X-rays.
Intensities are scaled so that the largest is 100.

The 12 most intense peaks (10° ≤ 2θ ≤ 80°), in order of rising 2θ:
hkl 0 0 3, d = 6.658 Å, 13.3°, I = 14
hkl 1 0 1, d = 5.779 Å, 15.3°, I = 10
hkl 1 1 0, d = 3.485 Å, 25.6°, I = 13
hkl 1 1 3, d = 3.088 Å, 28.9°, I = 96
hkl 2 -1 6, d = 2.407 Å, 37.4°, I = 100
hkl 3 0 0, d = 2.012 Å, 45.1°, I = 53
hkl 2 -1 9, d = 1.872 Å, 48.6°, I = 18
hkl 4 -2 3, d = 1.686 Å, 54.4°, I = 18
hkl 2 2 6, d = 1.544 Å, 59.9°, I = 26
hkl 4 1 3, d = 1.292 Å, 73.2°, I = 13
hkl 3 0 12, d = 1.283 Å, 73.9°, I = 22
hkl 5 -1 6, d = 1.225 Å, 78.0°, I = 23

Atomic structure:
```
data_Hf2Te3
_chemical_formula_sum 'Hf12 Te18'
_cell_length_a 6.9708
_cell_length_b 6.9708
_cell_length_c 19.9753
_cell_angle_alpha 90.00
_cell_angle_beta 90.00
_cell_angle_gamma 120.00
_symmetry_space_group_name_H-M 'R -3'
_symmetry_Int_Tables_number 148
_symmetry_space_group_name_Hall '-R 3'
loop_
_atom_site_label
_atom_site_type_symbol
_atom_site_fract_x
_atom_site_fract_y
_atom_site_fract_z
Hf1 Hf 0.0000 0.0000 0.0000
Hf2 Hf 0.0000 0.0000 0.1603
Hf3 Hf 0.0000 0.0000 0.5000
Te1 Te 0.0026 0.6537 0.9213
```

***

3.
Starting from a cell relaxed with PBE, the powder diffractogram of HfTe was simulated for Cu Kα X-rays.
Intensities are scaled so that the largest is 100.

The 12 most intense peaks (10° ≤ 2θ ≤ 80°), in order of rising 2θ:
hkl 1 0 1, d = 3.651 Å, 24.4°, I = 17
hkl 0 0 4, d = 3.269 Å, 27.3°, I = 19
hkl 1 0 3, d = 2.865 Å, 31.2°, I = 50
hkl 1 1 2, d = 2.487 Å, 36.1°, I = 100
hkl 1 0 5, d = 2.155 Å, 41.9°, I = 41
hkl 2 0 0, d = 1.901 Å, 47.8°, I = 30
hkl 1 0 7, d = 1.677 Å, 54.7°, I = 19
hkl 2 0 4, d = 1.643 Å, 55.9°, I = 10
hkl 2 1 3, d = 1.584 Å, 58.2°, I = 17
hkl 2 1 5, d = 1.426 Å, 65.5°, I = 22
hkl 2 2 0, d = 1.344 Å, 70.0°, I = 10
hkl 2 1 7, d = 1.258 Å, 75.6°, I = 14

Atomic structure:
```
data_HfTe
_chemical_formula_sum 'Hf4 Te4'
_cell_length_a 3.802
_cell_length_b 3.802
_cell_length_c 13.077
_cell_angle_alpha 90.00
_cell_angle_beta 90.00
_cell_angle_gamma 90.00
_symmetry_space_group_name_H-M 'I 41 m d'
_symmetry_Int_Tables_number 109
_symmetry_space_group_name_Hall 'I 4bw -2'
loop_
_atom_site_label
_atom_site_type_symbol
_atom_site_fract_x
_atom_site_fract_y
_atom_site_fract_z
Hf1 Hf 0.000 0.000 0.000
Te1 Te 0.000 0.000 0.417
```

***

4.
Starting from a cell relaxed with PBE, the powder diffractogram of HfTe was simulated for Cu Kα X-rays.
Intensities are scaled so that the largest is 100.

The 12 most intense peaks (10° ≤ 2θ ≤ 80°), in order of rising 2θ:
hkl 0 0 1, d = 7.279 Å, 12.2°, I = 37
hkl 0 0 2, d = 3.639 Å, 24.5°, I = 7
hkl 1 1 0, d = 2.631 Å, 34.1°, I = 74
hkl 1 0 2, d = 2.602 Å, 34.5°, I = 100
hkl 1 1 1, d = 2.475 Å, 36.3°, I = 11
hkl 1 1 2, d = 2.132 Å, 42.4°, I = 6
hkl 1 0 3, d = 2.032 Å, 44.6°, I = 34
hkl 2 0 0, d = 1.861 Å, 49.0°, I = 27
hkl 2 1 2, d = 1.513 Å, 61.2°, I = 38
hkl 2 1 3, d = 1.372 Å, 68.4°, I = 19
hkl 2 2 0, d = 1.316 Å, 71.7°, I = 9
hkl 1 1 5, d = 1.274 Å, 74.5°, I = 13

Atomic structure:
```
data_HfTe
_chemical_formula_sum 'Hf2 Te2'
_cell_length_a 3.721
_cell_length_b 3.721
_cell_length_c 7.279
_cell_angle_alpha 90.00
_cell_angle_beta 90.00
_cell_angle_gamma 90.00
_symmetry_space_group_name_H-M 'P 4/n m m'
_symmetry_Int_Tables_number 129
loop_
_symmetry_equiv_pos_as_xyz
'x,y,z'
'-x,-y,-z'
'-y+1/2,x,z'
'y+1/2,-x,-z'
'-x+1/2,-y+1/2,z'
'x+1/2,y+1/2,-z'
'y,-x+1/2,z'
'-y,x+1/2,-z'
'x+1/2,-y,-z'
'-x+1/2,y,z'
'-y,-x,-z'
'y,x,z'
'-x,y+1/2,-z'
'x,-y+1/2,z'
'y+1/2,x+1/2,-z'
'-y+1/2,-x+1/2,z'
loop_
_atom_site_label
_atom_site_type_symbol
_atom_site_fract_x
_atom_site_fract_y
_atom_site_fract_z
Hf1 Hf 0.250 0.250 0.118
Te1 Te 0.250 0.250 0.698
```

***

5.
Starting from a cell relaxed with PBE, the powder diffractogram of HfTiTe3 was simulated for Cu Kα X-rays.
Intensities are scaled so that the largest is 100.

The 12 most intense peaks (10° ≤ 2θ ≤ 80°), in order of rising 2θ:
hkl 2 0 -2, d = 3.203 Å, 27.9°, I = 53
hkl 1 1 1, d = 3.079 Å, 29.0°, I = 100
hkl 1 1 2, d = 2.623 Å, 34.2°, I = 22
hkl 2 0 2, d = 2.520 Å, 35.6°, I = 28
hkl 1 1 -3, d = 2.486 Å, 36.1°, I = 49
hkl 1 1 3, d = 2.199 Å, 41.0°, I = 13
hkl 1 1 -4, d = 2.086 Å, 43.4°, I = 11
hkl 3 1 -1, d = 2.024 Å, 44.8°, I = 44
hkl 0 2 0, d = 1.944 Å, 46.7°, I = 22
hkl 1 1 -5, d = 1.769 Å, 51.7°, I = 12
hkl 2 2 -2, d = 1.662 Å, 55.3°, I = 16
hkl 2 2 2, d = 1.539 Å, 60.1°, I = 12

Atomic structure:
```
data_HfTiTe3
_chemical_formula_sum 'Hf2 Ti2 Te6'
_cell_length_a 7.111
_cell_length_b 3.889
_cell_length_c 9.939
_cell_angle_alpha 90.00
_cell_angle_beta 104.39
_cell_angle_gamma 90.00
_symmetry_space_group_name_H-M 'P 1 21/m 1'
_symmetry_Int_Tables_number 11
loop_
_symmetry_equiv_pos_as_xyz
'x,y,z'
'-x,-y,-z'
'-x,y+1/2,-z'
'x,-y+1/2,z'
loop_
_atom_site_label
_atom_site_type_symbol
_atom_site_fract_x
_atom_site_fract_y
_atom_site_fract_z
Hf1 Hf 0.217 0.250 0.003
Ti1 Ti 0.377 0.250 0.354
Te1 Te 0.017 0.750 0.804
Te2 Te 0.243 0.750 0.504
Te3 Te 0.485 0.750 0.170
```

***

6.
Starting from a cell relaxed with PBE, the powder diffractogram of HfTi2Te6 was simulated for Cu Kα X-rays.
Intensities are scaled so that the largest is 100.

The 12 most intense peaks (10° ≤ 2θ ≤ 80°), in order of rising 2θ:
hkl 0 0 1, d = 6.789 Å, 13.0°, I = 15
hkl 1 0 1, d = 4.399 Å, 20.2°, I = 8
hkl 0 0 2, d = 3.394 Å, 26.3°, I = 10
hkl 1 1 1, d = 2.993 Å, 29.9°, I = 100
hkl 2 -1 2, d = 2.379 Å, 37.8°, I = 44
hkl 3 0 0, d = 1.925 Å, 47.2°, I = 29
hkl 2 -1 3, d = 1.872 Å, 48.6°, I = 24
hkl 3 0 2, d = 1.674 Å, 54.8°, I = 8
hkl 4 -2 1, d = 1.619 Å, 56.9°, I = 16
hkl 2 2 2, d = 1.496 Å, 62.0°, I = 10
hkl 3 0 4, d = 1.273 Å, 74.5°, I = 14
hkl 4 1 1, d = 1.239 Å, 77.0°, I = 12

Atomic structure:
```
data_HfTi2Te6
_chemical_formula_sum 'Hf1 Ti2 Te6'
_cell_length_a 6.6681
_cell_length_b 6.6681
_cell_length_c 6.7890
_cell_angle_alpha 90.00
_cell_angle_beta 90.00
_cell_angle_gamma 120.00
_symmetry_space_group_name_H-M 'P -3 1 m'
_symmetry_Int_Tables_number 162
_symmetry_space_group_name_Hall '-P 3 2'
loop_
_atom_site_label
_atom_site_type_symbol
_atom_site_fract_x
_atom_site_fract_y
_atom_site_fract_z
Hf1 Hf 0.0000 0.0000 0.0000
Ti1 Ti 0.3333 0.6667 0.0000
Te1 Te 0.0000 0.3420 0.7444
```

***

7.
Starting from a cell relaxed with PBE, the powder diffractogram of Hf3TiTe20 was simulated for Cu Kα X-rays.
Intensities are scaled so that the largest is 100.

The 12 most intense peaks (10° ≤ 2θ ≤ 80°), in order of rising 2θ:
hkl 0 0 2, d = 7.806 Å, 11.3°, I = 100
hkl 4 0 0, d = 6.909 Å, 12.8°, I = 34
hkl 2 0 2, d = 6.796 Å, 13.0°, I = 31
hkl 2 0 4, d = 3.756 Å, 23.7°, I = 26
hkl 2 1 3, d = 3.090 Å, 28.9°, I = 69
hkl 4 1 3, d = 2.881 Å, 31.0°, I = 68
hkl 10 0 2, d = 2.608 Å, 34.4°, I = 37
hkl 8 1 1, d = 2.578 Å, 34.8°, I = 33
hkl 4 1 5, d = 2.318 Å, 38.9°, I = 51
hkl 10 1 1, d = 2.250 Å, 40.1°, I = 33
hkl 12 0 2, d = 2.209 Å, 40.9°, I = 25
hkl 0 2 0, d = 1.999 Å, 45.4°, I = 27

Atomic structure:
```
data_Hf3TiTe20
_chemical_formula_sum 'Hf6 Ti2 Te40'
_cell_length_a 27.637
_cell_length_b 3.997
_cell_length_c 15.611
_cell_angle_alpha 90.00
_cell_angle_beta 90.00
_cell_angle_gamma 90.00
_symmetry_space_group_name_H-M 'A m m 2'
_symmetry_Int_Tables_number 38
loop_
_symmetry_equiv_pos_as_xyz
'x,y,z'
'-x,-y,z'
'-x,y,z'
'x,-y,z'
'x,y+1/2,z+1/2'
'-x,-y+1/2,z+1/2'
'-x,y+1/2,z+1/2'
'x,-y+1/2,z+1/2'
loop_
_atom_site_label
_atom_site_type_symbol
_atom_site_fract_x
_atom_site_fract_y
_atom_site_fract_z
Hf1 Hf 0.000 0.000 0.000
Hf2 Hf 0.252 0.000 0.382
Ti1 Ti 0.500 0.000 0.010
Te1 Te 0.000 0.000 0.358
Te2 Te 0.050 0.000 0.607
Te3 Te 0.093 0.000 0.901
Te4 Te 0.158 0.000 0.478
Te5 Te 0.203 0.000 0.774
Te6 Te 0.250 0.000 0.024
Te7 Te 0.303 0.000 0.777
Te8 Te 0.343 0.000 0.485
Te9 Te 0.411 0.000 0.913
Te10 Te 0.451 0.000 0.611
Te11 Te 0.500 0.000 0.373
```

***

8.
Starting from a cell relaxed with PBE, the powder diffractogram of Hf4TiTe was simulated for Cu Kα X-rays.
Intensities are scaled so that the largest is 100.

The 12 most intense peaks (10° ≤ 2θ ≤ 80°), in order of rising 2θ:
hkl 0 0 2, d = 4.186 Å, 21.2°, I = 13
hkl 0 2 0, d = 2.777 Å, 32.2°, I = 51
hkl 1 1 -3, d = 2.565 Å, 35.0°, I = 100
hkl 2 1 0, d = 2.438 Å, 36.9°, I = 80
hkl 0 2 2, d = 2.314 Å, 38.9°, I = 11
hkl 1 2 1, d = 2.281 Å, 39.5°, I = 12
hkl 1 0 3, d = 2.208 Å, 40.9°, I = 18
hkl 1 2 3, d = 1.728 Å, 53.0°, I = 11
hkl 1 1 -5, d = 1.686 Å, 54.4°, I = 12
hkl 1 3 -3, d = 1.559 Å, 59.3°, I = 22
hkl 2 3 0, d = 1.529 Å, 60.6°, I = 19
hkl 3 2 2, d = 1.315 Å, 71.8°, I = 16

Atomic structure:
```
data_Hf4TiTe
_chemical_formula_sum 'Hf8 Ti2 Te2'
_cell_length_a 5.736
_cell_length_b 5.553
_cell_length_c 8.847
_cell_angle_alpha 90.00
_cell_angle_beta 108.86
_cell_angle_gamma 90.00
_symmetry_space_group_name_H-M 'P 1 2/m 1'
_symmetry_Int_Tables_number 10
loop_
_symmetry_equiv_pos_as_xyz
'x,y,z'
'-x,-y,-z'
'-x,y,-z'
'x,-y,z'
loop_
_atom_site_label
_atom_site_type_symbol
_atom_site_fract_x
_atom_site_fract_y
_atom_site_fract_z
Hf1 Hf 0.016 0.000 0.207
Hf2 Hf 0.289 0.500 0.350
Hf3 Hf 0.308 0.500 0.792
Hf4 Hf 0.438 0.000 0.650
Ti1 Ti 0.000 0.250 0.500
Te1 Te 0.000 0.500 0.000
Te2 Te 0.500 0.000 0.000
```